Diffraction record for KCr3O8. The XRD peak list is calculated, not measured: it uses the PBE+U geometry in the Materials Project and Cu Kα (weighted mean of Kα1 and Kα2).
Neutral-atom scattering factors, no anomalous dispersion.

```
KCr3O8
1.0
4.440 -2.767 0.000
4.440 2.767 0.000
-0.502 0.000 7.848
K Cr O
1 3 8
direct
0.000 0.000 0.000
0.000 0.000 0.500
0.367 0.367 0.705
0.633 0.633 0.295
0.220 0.220 0.562
0.221 0.723 0.680
0.277 0.779 0.320
0.312 0.312 0.898
0.688 0.688 0.102
0.723 0.221 0.680
0.779 0.277 0.320
0.780 0.780 0.438
```

Principal peaks in the range 2θ from 5° to 70°, in order of falling intensity:
2θ (°)  Rel. int.
29.16  100.0
22.40  84.7
21.73  82.3
11.27  79.1
34.41  64.6
23.68  61.3
32.35  41.5
30.17  35.3
20.04  30.2
57.12  17.6
48.45  15.8
49.60  15.3



Diffraction record for MoH4O5. The XRD peak list is calculated, not measured: it uses the PBE+U geometry in the Materials Project and Cu Kα (weighted mean of Kα1 and Kα2).
Neutral-atom scattering factors, no anomalous dispersion.

```
MoH4O5
1.0
4.052 0.000 0.000
-0.001 6.393 0.000
-0.017 -1.014 7.662
Mo H O
2 8 10
direct
0.000 0.000 0.000
0.131 0.974 0.493
0.050 0.550 0.995
0.061 0.417 0.474
0.253 0.610 0.339
0.272 0.604 0.832
0.536 0.546 0.611
0.550 0.399 0.162
0.749 0.576 0.787
0.751 0.575 0.285
0.056 0.941 0.222
0.059 0.273 0.029
0.066 0.654 0.911
0.068 0.969 0.723
0.070 0.259 0.486
0.080 0.651 0.434
0.542 0.514 0.731
0.550 0.547 0.211
0.563 0.976 0.977
0.564 0.956 0.478
```

Principal peaks in the range 2θ from 5° to 70°, in order of falling intensity:
2θ (°)  Rel. int.
13.97  100.0
21.94  43.4
26.10  43.0
23.22  38.1
25.54  37.4
28.16  29.9
32.16  29.0
28.77  16.6
48.61  13.7
42.80  12.8
44.73  11.2
47.46  9.9



Diffraction record for Li2Mn2SnO6. The XRD peak list is calculated, not measured: it uses the PBE+U geometry in the Materials Project and Cu Kα (weighted mean of Kα1 and Kα2).
Neutral-atom scattering factors, no anomalous dispersion.

```
Li2Mn2SnO6
1.0
4.489 -2.786 0.000
4.489 2.786 0.000
0.000 0.000 10.334
Li Mn Sn O
4 4 2 12
direct
0.110 0.390 0.250
0.390 0.110 0.750
0.610 0.890 0.250
0.890 0.610 0.750
0.163 0.163 0.000
0.337 0.337 0.500
0.663 0.663 0.500
0.837 0.837 0.000
0.000 0.000 0.500
0.500 0.500 0.000
0.053 0.307 0.612
0.160 0.840 0.092
0.193 0.447 0.888
0.307 0.053 0.388
0.340 0.660 0.592
0.447 0.193 0.112
0.553 0.807 0.888
0.660 0.340 0.408
0.693 0.947 0.612
0.807 0.553 0.112
0.840 0.160 0.908
0.947 0.693 0.388
```

Principal peaks in the range 2θ from 5° to 70°, in order of falling intensity:
2θ (°)  Rel. int.
17.16  100.0
43.21  39.3
35.13  36.2
36.64  25.0
56.58  20.8
32.13  19.8
59.23  18.6
20.63  14.9
48.03  14.5
26.30  8.3
65.00  7.5
34.72  6.9



Diffraction record for YMg6VO8. The XRD peak list is calculated, not measured: it uses the PBE+U geometry in the Materials Project and Cu Kα (weighted mean of Kα1 and Kα2).
Neutral-atom scattering factors, no anomalous dispersion.

```
YMg6VO8
1.0
4.428 0.000 0.000
0.000 4.428 0.000
0.000 0.000 8.832
Y Mg V O
1 6 1 8
direct
0.000 0.000 0.000
0.000 0.000 0.500
0.000 0.500 0.263
0.000 0.500 0.737
0.500 0.000 0.263
0.500 0.000 0.737
0.500 0.500 0.500
0.500 0.500 0.000
0.000 0.000 0.263
0.000 0.000 0.737
0.000 0.500 0.000
0.000 0.500 0.500
0.500 0.000 0.000
0.500 0.000 0.500
0.500 0.500 0.258
0.500 0.500 0.742
```

Principal peaks in the range 2θ from 5° to 70°, in order of falling intensity:
2θ (°)  Rel. int.
40.75  100.0
59.06  85.3
10.01  48.7
40.87  47.7
35.13  44.4
30.31  33.0
20.09  21.0
28.52  17.0
42.10  11.7
51.66  8.7
22.46  8.2
45.84  7.8



Diffraction record for Li4FeCo3P4O16. The XRD peak list is calculated, not measured: it uses the PBE+U geometry in the Materials Project and Cu Kα (weighted mean of Kα1 and Kα2).
Neutral-atom scattering factors, no anomalous dispersion.

```
Li4FeCo3P4O16
1.0
4.764 0.000 0.000
0.000 6.009 0.000
-0.004 0.000 10.327
Li Fe Co P O
4 1 3 4 16
direct
0.000 0.249 0.000
0.000 0.751 0.000
0.499 0.250 0.498
0.499 0.750 0.498
0.527 0.500 0.779
0.021 0.000 0.718
0.478 0.000 0.219
0.978 0.500 0.279
0.084 0.500 0.594
0.416 0.500 0.095
0.584 0.000 0.905
0.916 0.000 0.404
0.205 0.500 0.454
0.220 0.294 0.664
0.220 0.706 0.664
0.238 0.000 0.401
0.261 0.000 0.901
0.278 0.295 0.166
0.278 0.705 0.166
0.293 0.500 0.955
0.704 0.000 0.045
0.721 0.203 0.834
0.721 0.797 0.834
0.738 0.500 0.097
0.763 0.500 0.597
0.778 0.205 0.333
0.778 0.795 0.333
0.794 0.000 0.544
```

Principal peaks in the range 2θ from 5° to 70°, in order of falling intensity:
2θ (°)  Rel. int.
35.47  100.0
25.38  94.9
29.74  63.3
20.53  56.0
52.10  36.9
17.17  36.5
36.41  28.7
32.08  26.8
56.56  23.7
41.75  19.5
37.93  19.5
55.54  18.8